Structure and computed X-ray powder pattern of Tb2MgTe3 (a PBE-relaxed structure; Cu Ka).
Intensities are scaled so that the largest is 100.

Structural model:
```
data_Tb2MgTe3
_cell_length_a 7.7855
_cell_length_b 7.7855
_cell_length_c 20.6999
_cell_angle_alpha 90.00
_cell_angle_beta 90.00
_cell_angle_gamma 120.00
_symmetry_space_group_name_H-M 'R -3 c'
_symmetry_Int_Tables_number 167
_symmetry_space_group_name_Hall '-R 3 2"c'
loop_
_atom_site_label
_atom_site_type_symbol
_atom_site_fract_x
_atom_site_fract_y
_atom_site_fract_z
_atom_site_occupancy
Tb1 Tb 0.0000 0.0000 0.1647 1
Mg1 Mg 0.0000 0.0000 0.0000 1
Te1 Te 0.0000 0.3328 0.2500 1
```

Main lines, low angle first (2θ = 5–70°):
2theta  I_rel
15.69  19
22.84  13
26.29  78
34.75  100
40.12  62
45.83  19
48.60  14
54.10  28
68.58  25
69.45  27

***

Structure and computed X-ray powder pattern of Tb3ThMg (a PBE-relaxed structure; Cu Ka).
Intensities are scaled so that the largest is 100.

Structural model:
```
data_Tb3ThMg
_cell_length_a 18.1430
_cell_length_b 4.8939
_cell_length_c 7.0205
_cell_angle_alpha 90.00
_cell_angle_beta 101.46
_cell_angle_gamma 90.00
_symmetry_space_group_name_H-M 'C 1 2/m 1'
_symmetry_Int_Tables_number 12
loop_
_symmetry_equiv_pos_as_xyz
'x,y,z'
'-x,-y,-z'
'-x,y,-z'
'x,-y,z'
'x+1/2,y+1/2,z'
'-x+1/2,-y+1/2,-z'
'-x+1/2,y+1/2,-z'
'x+1/2,-y+1/2,z'
loop_
_atom_site_label
_atom_site_type_symbol
_atom_site_fract_x
_atom_site_fract_y
_atom_site_fract_z
_atom_site_occupancy
Tb1 Tb 0.0023 0.0000 0.2489 1
Tb2 Tb 0.1022 0.5000 0.5552 1
Tb3 Tb 0.1986 0.0000 0.8504 1
Th1 Th 0.1987 0.0000 0.3560 1
Mg1 Mg 0.0970 0.5000 0.0499 1
```

Main lines, low angle first (2θ = 5–70°):
2theta  I_rel
12.87  21
31.09  100
31.36  98
35.85  34
36.05  34
36.73  32
52.26  24
52.41  23
61.31  15
62.06  15

***

Structure and computed X-ray powder pattern of Tb3Mg5Tl2 (a PBE-relaxed structure; Cu Ka).
Intensities are scaled so that the largest is 100.

Structural model:
```
data_Tb3Mg5Tl2
_cell_length_a 12.5516
_cell_length_b 13.7445
_cell_length_c 6.2435
_cell_angle_alpha 90.00
_cell_angle_beta 90.00
_cell_angle_gamma 90.00
_symmetry_space_group_name_H-M 'I b a m'
_symmetry_Int_Tables_number 72
_symmetry_space_group_name_Hall '-I 2 2c'
loop_
_atom_site_label
_atom_site_type_symbol
_atom_site_fract_x
_atom_site_fract_y
_atom_site_fract_z
_atom_site_occupancy
Tb1 Tb 0.0000 0.0000 0.2500 1
Tb2 Tb 0.1297 0.2353 0.0000 1
Mg1 Mg 0.0000 0.5000 0.2500 1
Mg2 Mg 0.1118 0.3506 0.5000 1
Mg3 Mg 0.2427 0.5000 0.2500 1
Tl1 Tl 0.1396 0.1525 0.5000 1
```

Main lines, low angle first (2θ = 5–70°):
2theta  I_rel
9.54  100
12.88  18
20.48  23
28.03  44
28.90  30
31.34  43
31.48  44
35.53  21
38.55  55
40.77  42

***

Structure and computed X-ray powder pattern of Tb6MgTl5 (a PBE-relaxed structure; Cu Ka).
Intensities are scaled so that the largest is 100.

Structural model:
```
data_Tb6MgTl5
_cell_length_a 5.3845
_cell_length_b 7.5664
_cell_length_c 16.1838
_cell_angle_alpha 90.00
_cell_angle_beta 90.00
_cell_angle_gamma 90.00
_symmetry_space_group_name_H-M 'I m m m'
_symmetry_Int_Tables_number 71
_symmetry_space_group_name_Hall '-I 2 2'
loop_
_atom_site_label
_atom_site_type_symbol
_atom_site_fract_x
_atom_site_fract_y
_atom_site_fract_z
_atom_site_occupancy
Tb1 Tb 0.0000 0.2449 0.0000 1
Tb2 Tb 0.0000 0.2521 0.3314 1
Mg1 Mg 0.0000 0.0000 0.5000 1
Tl1 Tl 0.0000 0.0000 0.1677 1
Tl2 Tl 0.0000 0.5000 0.1580 1
Tl3 Tl 0.0000 0.5000 0.5000 1
```

Main lines, low angle first (2θ = 5–70°):
2theta  I_rel
12.92  3
23.06  3
33.25  50
33.37  100
47.73  18
48.10  9
59.49  38
59.73  19
69.73  3
69.88  3

***

Structure and computed X-ray powder pattern of Tb3Mg2Tl6 (a PBE-relaxed structure; Cu Ka).
Intensities are scaled so that the largest is 100.

Structural model:
```
data_Tb3Mg2Tl6
_cell_length_a 4.6274
_cell_length_b 4.6274
_cell_length_c 28.3216
_cell_angle_alpha 90.00
_cell_angle_beta 90.00
_cell_angle_gamma 90.00
_symmetry_space_group_name_H-M 'I 4/m m m'
_symmetry_Int_Tables_number 139
_symmetry_space_group_name_Hall '-I 4 2'
loop_
_atom_site_label
_atom_site_type_symbol
_atom_site_fract_x
_atom_site_fract_y
_atom_site_fract_z
_atom_site_occupancy
Tb1 Tb 0.0000 0.0000 0.0000 1
Tb2 Tb 0.0000 0.0000 0.1951 1
Mg1 Mg 0.0000 0.0000 0.4531 1
Tl1 Tl 0.0000 0.0000 0.3038 1
Tl2 Tl 0.0000 0.5000 0.1095 1
```

Main lines, low angle first (2θ = 5–70°):
2theta  I_rel
6.24  27
12.50  29
27.99  28
30.09  100
31.59  41
33.32  57
37.43  60
38.93  66
50.97  44
65.94  24

***

Structure and computed X-ray powder pattern of Tb6MgTl2 (a PBE-relaxed structure; Cu Ka).
Intensities are scaled so that the largest is 100.

Structural model:
```
data_Tb6MgTl2
_cell_length_a 5.1639
_cell_length_b 7.4388
_cell_length_c 15.6068
_cell_angle_alpha 90.00
_cell_angle_beta 90.00
_cell_angle_gamma 90.00
_symmetry_space_group_name_H-M 'I m m m'
_symmetry_Int_Tables_number 71
_symmetry_space_group_name_Hall '-I 2 2'
loop_
_atom_site_label
_atom_site_type_symbol
_atom_site_fract_x
_atom_site_fract_y
_atom_site_fract_z
_atom_site_occupancy
Tb1 Tb 0.0000 0.2487 0.1658 1
Tb2 Tb 0.0000 0.2504 0.5000 1
Mg1 Mg 0.0000 0.0000 0.0000 1
Tl1 Tl 0.0000 0.0000 0.3326 1
```

Main lines, low angle first (2θ = 5–70°):
2theta  I_rel
20.84  16
20.94  17
23.91  13
24.29  18
34.35  100
34.48  25
34.74  24
49.76  18
61.69  19
62.03  18

***

Structure and computed X-ray powder pattern of Tb6Mg2Tl (a PBE-relaxed structure; Cu Ka).
Intensities are scaled so that the largest is 100.

Structural model:
```
data_Tb6Mg2Tl
_cell_length_a 16.9880
_cell_length_b 3.7058
_cell_length_c 11.7762
_cell_angle_alpha 90.00
_cell_angle_beta 133.77
_cell_angle_gamma 90.00
_symmetry_space_group_name_H-M 'C 1 2/m 1'
_symmetry_Int_Tables_number 12
loop_
_symmetry_equiv_pos_as_xyz
'x,y,z'
'-x,-y,-z'
'-x,y,-z'
'x,-y,z'
'x+1/2,y+1/2,z'
'-x+1/2,-y+1/2,-z'
'-x+1/2,y+1/2,-z'
'x+1/2,-y+1/2,z'
loop_
_atom_site_label
_atom_site_type_symbol
_atom_site_fract_x
_atom_site_fract_y
_atom_site_fract_z
_atom_site_occupancy
Tb1 Tb 0.0381 0.0000 0.3950 1
Tb2 Tb 0.1724 0.5000 0.3210 1
Tb3 Tb 0.1857 0.5000 0.7450 1
Mg1 Mg 0.1132 0.5000 0.9406 1
Tl1 Tl 0.0000 0.0000 0.0000 1
```

Main lines, low angle first (2θ = 5–70°):
2theta  I_rel
10.41  26
29.39  61
31.61  74
32.61  100
32.91  52
33.25  78
38.91  40
55.01  27
59.64  24
60.49  28

***

Structure and computed X-ray powder pattern of Tb4MgTlZn2 (a PBE-relaxed structure; Cu Ka).
Intensities are scaled so that the largest is 100.

Structural model:
```
data_Tb4MgTlZn2
_cell_length_a 5.2029
_cell_length_b 5.2029
_cell_length_c 25.9666
_cell_angle_alpha 90.00
_cell_angle_beta 90.00
_cell_angle_gamma 120.00
_symmetry_space_group_name_H-M 'R -3 m'
_symmetry_Int_Tables_number 166
_symmetry_space_group_name_Hall '-R 3 2"'
loop_
_atom_site_label
_atom_site_type_symbol
_atom_site_fract_x
_atom_site_fract_y
_atom_site_fract_z
_atom_site_occupancy
Tb1 Tb 0.0000 0.0000 0.1235 1
Tb2 Tb 0.0000 0.0000 0.3751 1
Mg1 Mg 0.0000 0.0000 0.0000 1
Tl1 Tl 0.0000 0.0000 0.5000 1
Zn1 Zn 0.0000 0.0000 0.2586 1
```

Main lines, low angle first (2θ = 5–70°):
2theta  I_rel
10.22  11
20.00  12
24.04  18
26.18  10
34.04  100
34.48  99
49.23  35
60.65  17
61.49  36
61.77  18

***

Structure and computed X-ray powder pattern of TbTm4Mg (a PBE-relaxed structure; Cu Ka).
Intensities are scaled so that the largest is 100.

Structural model:
```
data_TbTm4Mg
_cell_length_a 3.5113
_cell_length_b 3.5113
_cell_length_c 14.2787
_cell_angle_alpha 90.00
_cell_angle_beta 90.00
_cell_angle_gamma 90.00
_symmetry_space_group_name_H-M 'P 4/m m m'
_symmetry_Int_Tables_number 123
_symmetry_space_group_name_Hall '-P 4 2'
loop_
_atom_site_label
_atom_site_type_symbol
_atom_site_fract_x
_atom_site_fract_y
_atom_site_fract_z
_atom_site_occupancy
Tb1 Tb 0.0000 0.0000 0.0000 1
Tm1 Tm 0.0000 0.0000 0.3443 1
Tm2 Tm 0.5000 0.5000 0.1748 1
Mg1 Mg 0.5000 0.5000 0.5000 1
```

Main lines, low angle first (2θ = 5–70°):
2theta  I_rel
6.19  12
28.32  8
31.67  100
36.18  36
37.80  14
52.09  13
53.32  21
62.26  29
64.45  11
66.14  11

***

Structure and computed X-ray powder pattern of Tb4TmMg3 (a PBE-relaxed structure; Cu Ka).
Intensities are scaled so that the largest is 100.

Structural model:
```
data_Tb4TmMg3
_cell_length_a 3.7951
_cell_length_b 5.4457
_cell_length_c 10.9985
_cell_angle_alpha 90.00
_cell_angle_beta 90.00
_cell_angle_gamma 90.00
_symmetry_space_group_name_H-M 'P m m m'
_symmetry_Int_Tables_number 47
loop_
_symmetry_equiv_pos_as_xyz
'x,y,z'
'-x,-y,-z'
'-x,-y,z'
'x,y,-z'
'x,-y,-z'
'-x,y,z'
'-x,y,-z'
'x,-y,z'
loop_
_atom_site_label
_atom_site_type_symbol
_atom_site_fract_x
_atom_site_fract_y
_atom_site_fract_z
_atom_site_occupancy
Tb1 Tb 0.0000 0.0000 0.0000 1
Tb2 Tb 0.0000 0.0000 0.5000 1
Tb3 Tb 0.0000 0.5000 0.2403 1
Tm1 Tm 0.5000 0.5000 0.5000 1
Mg1 Mg 0.5000 0.0000 0.2493 1
Mg2 Mg 0.5000 0.5000 0.0000 1
```

Main lines, low angle first (2θ = 5–70°):
2theta  I_rel
8.04  12
22.98  24
23.44  12
32.56  26
32.89  25
33.06  100
46.96  19
58.42  19
58.84  20
69.37  11

***

Structure and computed X-ray powder pattern of Tb7Tm12Mg (a PBE-relaxed structure; Cu Ka).
Intensities are scaled so that the largest is 100.

Structural model:
```
data_Tb7Tm12Mg
_cell_length_a 11.7497
_cell_length_b 11.7497
_cell_length_c 15.8690
_cell_angle_alpha 90.00
_cell_angle_beta 90.00
_cell_angle_gamma 120.00
_symmetry_space_group_name_H-M 'R -3'
_symmetry_Int_Tables_number 148
_symmetry_space_group_name_Hall '-R 3'
loop_
_atom_site_label
_atom_site_type_symbol
_atom_site_fract_x
_atom_site_fract_y
_atom_site_fract_z
_atom_site_occupancy
Tb1 Tb 0.0000 0.0000 0.0000 1
Tb2 Tb 0.0575 0.1902 0.2911 1
Tm1 Tm 0.0318 0.4567 0.2192 1
Tm2 Tm 0.0527 0.5854 0.5840 1
Mg1 Mg 0.0000 0.0000 0.5000 1
```

Main lines, low angle first (2θ = 5–70°):
2theta  I_rel
22.62  15
29.48  21
31.33  44
32.22  100
32.42  50
33.27  30
33.71  42
51.86  14
53.91  13
56.19  14

***

Structure and computed X-ray powder pattern of Tb2Tm3Mg2 (a PBE-relaxed structure; Cu Ka).
Intensities are scaled so that the largest is 100.

Structural model:
```
data_Tb2Tm3Mg2
_cell_length_a 3.5220
_cell_length_b 33.2279
_cell_length_c 3.4930
_cell_angle_alpha 90.00
_cell_angle_beta 90.00
_cell_angle_gamma 90.00
_symmetry_space_group_name_H-M 'C m m m'
_symmetry_Int_Tables_number 65
_symmetry_space_group_name_Hall '-C 2 2'
loop_
_atom_site_label
_atom_site_type_symbol
_atom_site_fract_x
_atom_site_fract_y
_atom_site_fract_z
_atom_site_occupancy
Tb1 Tb 0.0000 0.2047 0.0000 1
Tm1 Tm 0.0000 0.0724 0.0000 1
Tm2 Tm 0.0000 0.5000 0.5000 1
Mg1 Mg 0.0000 0.3621 0.5000 1
```

Main lines, low angle first (2θ = 5–70°):
2theta  I_rel
5.32  36
10.65  24
25.48  31
30.25  33
31.63  100
33.52  61
36.32  68
37.91  25
55.63  36
62.50  29

***

Structure and computed X-ray powder pattern of TbTm2Mg6 (a PBE-relaxed structure; Cu Ka).
Intensities are scaled so that the largest is 100.

Structural model:
```
data_TbTm2Mg6
_cell_length_a 9.0380
_cell_length_b 9.0380
_cell_length_c 3.2632
_cell_angle_alpha 90.00
_cell_angle_beta 90.00
_cell_angle_gamma 120.00
_symmetry_space_group_name_H-M 'P 6/m m m'
_symmetry_Int_Tables_number 191
_symmetry_space_group_name_Hall '-P 6 2'
loop_
_atom_site_label
_atom_site_type_symbol
_atom_site_fract_x
_atom_site_fract_y
_atom_site_fract_z
_atom_site_occupancy
Tb1 Tb 0.0000 0.0000 0.0000 1
Tm1 Tm 0.3333 0.6667 0.0000 1
Mg1 Mg 0.0000 0.3354 0.5000 1
```

Main lines, low angle first (2θ = 5–70°):
2theta  I_rel
19.64  100
33.88  99
34.37  61
39.90  17
44.46  17
49.04  35
53.66  14
61.25  36
61.57  11
67.73  17